[1]
# Cs2La4Cu4S9
Theoretical powder X-ray diffraction pattern, Cu Kα (λ = 1.5418 Å). Input: a crystal structure in OQMD, relaxed with PBE.

Principal peaks in the range 2θ = 10–90°, in order of rising 2θ:
two_theta	d_spacing	intensity
21.88	4.062	68
24.93	3.572	65
25.95	3.434	100
27.51	3.242	35
29.02	3.077	53
29.15	3.064	50
30.53	2.928	40
30.77	2.906	69
43.73	2.070	34
43.99	2.058	96

Cell and atoms:
```
Cs2La4Cu4S9
1.0
7.204 -2.060 0.000
7.204 2.060 0.000
-5.085 0.000 16.210
Cs La Cu S
2 4 4 9
direct
0.029 0.029 0.262
0.971 0.971 0.738
0.227 0.227 0.101
0.347 0.347 0.448
0.653 0.653 0.552
0.773 0.773 0.899
0.229 0.229 0.707
0.427 0.427 0.036
0.573 0.573 0.964
0.771 0.771 0.293
0.000 0.000 0.500
0.140 0.140 0.928
0.295 0.295 0.598
0.333 0.333 0.276
0.404 0.404 0.889
0.596 0.596 0.111
0.667 0.667 0.724
0.705 0.705 0.402
0.860 0.860 0.072
```

=====

[2]
# Zr3Ni4Bi2As2
Theoretical powder X-ray diffraction pattern, Cu Kα (λ = 1.5418 Å). Input: a crystal structure in OQMD, relaxed with PBE.

Principal peaks in the range 2θ = 10–90°, in order of rising 2θ:
two_theta	d_spacing	intensity
21.02	4.227	30
25.59	3.481	47
29.10	3.068	20
29.89	2.989	37
36.18	2.483	17
42.21	2.141	100
42.79	2.113	49
52.58	1.741	16
62.11	1.494	16
77.97	1.225	32

Cell and atoms:
```
Zr3Ni4Bi2As2
1.0
-2.989 2.989 6.136
2.989 -2.989 6.136
2.989 2.989 -6.136
Zr Ni Bi As
3 4 2 2
direct
0.000 0.000 0.000
0.250 0.750 0.500
0.750 0.250 0.500
0.106 0.106 0.484
0.379 0.894 0.000
0.621 0.621 0.516
0.894 0.379 0.000
0.000 0.500 0.500
0.500 0.000 0.500
0.254 0.254 0.000
0.746 0.746 0.000
```

=====

[3]
# Dy3Pd5
Theoretical powder X-ray diffraction pattern, Cu Kα (λ = 1.5418 Å). Input: a crystal structure in OQMD, relaxed with PBE.

Principal peaks in the range 2θ = 10–90°, in order of rising 2θ:
two_theta	d_spacing	intensity
31.82	2.812	14
32.17	2.783	11
33.19	2.699	13
37.04	2.427	100
37.46	2.401	31
39.23	2.297	38
42.80	2.113	27
55.36	1.660	24
67.30	1.391	13
76.40	1.247	13

Cell and atoms:
```
Dy3Pd5
1.0
4.591 -3.560 0.000
4.591 3.560 0.000
0.000 0.000 9.604
Dy Pd
6 10
direct
0.115 0.885 0.750
0.297 0.297 0.000
0.297 0.297 0.500
0.703 0.703 0.000
0.703 0.703 0.500
0.885 0.115 0.250
0.003 0.446 0.750
0.189 0.811 0.046
0.189 0.811 0.454
0.446 0.003 0.250
0.486 0.514 0.250
0.514 0.486 0.750
0.554 0.997 0.750
0.811 0.189 0.546
0.811 0.189 0.954
0.997 0.554 0.250
```

=====

[4]
# BiIrO3
Theoretical powder X-ray diffraction pattern, Cu Kα (λ = 1.5418 Å). Input: a crystal structure in OQMD, relaxed with PBE.

Principal peaks in the range 2θ = 10–90°, in order of rising 2θ:
two_theta	d_spacing	intensity
29.65	3.013	25
30.78	2.905	100
32.14	2.785	20
43.87	2.064	10
44.29	2.045	21
53.33	1.718	24
53.85	1.703	11
55.42	1.658	9
56.45	1.630	21
64.11	1.453	12

Cell and atoms:
```
BiIrO3
1.0
6.026 0.000 0.000
0.000 5.570 0.000
0.000 0.000 8.254
Bi Ir O
4 4 12
direct
0.250 0.000 0.125
0.250 0.000 0.625
0.750 0.000 0.375
0.750 0.000 0.875
0.250 0.500 0.356
0.250 0.500 0.856
0.750 0.500 0.144
0.750 0.500 0.644
0.000 0.348 0.250
0.000 0.652 0.750
0.097 0.188 0.906
0.097 0.812 0.406
0.403 0.188 0.406
0.403 0.812 0.906
0.500 0.348 0.750
0.500 0.652 0.250
0.597 0.188 0.094
0.597 0.812 0.594
0.903 0.188 0.594
0.903 0.812 0.094
```

=====

[5]
# Ta4CdCuN2
Theoretical powder X-ray diffraction pattern, Cu Kα (λ = 1.5418 Å). Input: a crystal structure in OQMD, relaxed with PBE.

Principal peaks in the range 2θ = 10–90°, in order of rising 2θ:
two_theta	d_spacing	intensity
12.90	6.860	13
33.10	2.707	24
38.65	2.329	100
39.40	2.287	17
52.38	1.747	13
59.12	1.563	21
64.30	1.449	7
70.96	1.328	11
72.89	1.298	15
73.38	1.290	16

Cell and atoms:
```
Ta4CdCuN2
1.0
3.125 0.000 0.000
-1.563 2.707 0.000
0.000 0.000 13.720
Ta Cd Cu N
4 1 1 2
direct
0.000 0.000 0.150
0.000 0.000 0.850
0.667 0.333 0.322
0.667 0.333 0.678
0.000 0.000 0.500
0.667 0.333 0.000
0.333 0.667 0.236
0.333 0.667 0.764
```

=====

[6]
# Hf4Ta2In3C3
Theoretical powder X-ray diffraction pattern, Cu Kα (λ = 1.5418 Å). Input: a crystal structure in OQMD, relaxed with PBE.

Principal peaks in the range 2θ = 10–90°, in order of rising 2θ:
two_theta	d_spacing	intensity
12.06	7.336	6
31.60	2.831	19
36.69	2.449	100
49.24	1.851	13
56.28	1.634	16
66.00	1.416	2
66.15	1.413	14
69.10	1.359	27
69.18	1.358	3
78.00	1.225	3

Cell and atoms:
```
Hf4Ta2In3C3
1.0
4.901 -2.832 0.000
4.901 2.832 0.000
-3.281 0.000 14.671
Hf Ta In C
8 4 6 6
direct
0.033 0.191 0.086
0.134 0.305 0.414
0.191 0.033 0.586
0.305 0.134 0.914
0.695 0.866 0.086
0.809 0.967 0.414
0.866 0.695 0.586
0.967 0.809 0.914
0.356 0.526 0.078
0.474 0.644 0.422
0.526 0.356 0.578
0.644 0.474 0.922
0.099 0.901 0.250
0.264 0.418 0.751
0.418 0.264 0.251
0.582 0.736 0.749
0.736 0.582 0.249
0.901 0.099 0.750
0.000 0.500 0.000
0.172 0.664 0.500
0.336 0.828 0.000
0.500 0.000 0.500
0.664 0.172 0.000
0.828 0.336 0.500
```

=====

[7]
# AsIr17
Theoretical powder X-ray diffraction pattern, Cu Kα (λ = 1.5418 Å). Input: a crystal structure in OQMD, relaxed with PBE.

Principal peaks in the range 2θ = 10–90°, in order of rising 2θ:
two_theta	d_spacing	intensity
40.23	2.241	100
40.37	2.234	49
40.80	2.212	53
41.37	2.183	48
41.51	2.176	24
46.03	1.972	46
47.95	1.897	54
48.03	1.894	27
69.15	1.358	32
83.50	1.158	28

Cell and atoms:
```
AsIr17
1.0
4.702 0.000 0.000
0.000 5.454 0.000
-0.023 0.000 28.750
As Ir
2 34
direct
0.174 0.250 0.185
0.826 0.750 0.815
0.000 0.000 0.500
0.000 0.500 0.500
0.005 0.000 0.732
0.005 0.500 0.732
0.166 0.250 0.422
0.166 0.750 0.423
0.168 0.750 0.655
0.171 0.250 0.654
0.173 0.750 0.191
0.328 0.008 0.810
0.328 0.492 0.810
0.331 0.000 0.344
0.331 0.500 0.344
0.334 0.000 0.578
0.334 0.500 0.578
0.492 0.250 0.265
0.498 0.750 0.267
0.500 0.250 0.500
0.500 0.750 0.500
0.502 0.250 0.733
0.508 0.750 0.735
0.666 0.000 0.422
0.666 0.500 0.422
0.669 0.000 0.656
0.669 0.500 0.656
0.672 0.508 0.190
0.672 0.992 0.190
0.827 0.250 0.809
0.829 0.750 0.346
0.832 0.250 0.345
0.834 0.250 0.577
0.834 0.750 0.578
0.995 0.000 0.268
0.995 0.500 0.268
```